Structure and theoretical powder X-ray diffraction pattern of K3NbF6 (DFT lattice parameters and positions (PBE); Cu Ka).
Peak positions follow from Bragg's law for the DFT cell and can differ from measured ones.

Peak list (10 most intense, 10 to 90 degrees two-theta, in order of rising 2θ)
16.64°, intensity 34; 19.24°, intensity 34; 27.34°, intensity 100; 39.05°, intensity 60; 43.88°, intensity 13; 48.32°, intensity 36; 56.41°, intensity 34; 63.79°, intensity 18; 70.73°, intensity 10; 77.39°, intensity 19

a = 6.5249 Å, b = 6.5249 Å, c = 6.5249 Å
α = 60.00°, β = 60.00°, γ = 60.00°
Sites, in units of the cell vectors:
K 0.0000 0.0000 0.0000
K 0.2500 0.2500 0.2500
K 0.7500 0.7500 0.7500
Nb 0.5000 0.5000 0.5000
F 0.2720 0.2720 0.7280
F 0.2720 0.7280 0.2720
F 0.2720 0.7280 0.7280
F 0.7280 0.2720 0.2720
F 0.7280 0.2720 0.7280
F 0.7280 0.7280 0.2720


Structure and theoretical powder X-ray diffraction pattern of CdPd3 (DFT lattice parameters and positions (PBE); Cu Ka).
Peak positions follow from Bragg's law for the DFT cell and can differ from measured ones.

Peak list (10 most intense, 10 to 90 degrees two-theta, in order of rising 2θ)
36.23°, intensity 24; 38.63°, intensity 27; 41.24°, intensity 100; 54.00°, intensity 15; 65.18°, intensity 17; 71.69°, intensity 19; 78.41°, intensity 19; 80.11°, intensity 14; 82.84°, intensity 3; 89.56°, intensity 4

a = 5.7254 Å, b = 5.7254 Å, c = 4.6610 Å
α = 90.00°, β = 90.00°, γ = 120.00°
Sites, in units of the cell vectors:
Cd 0.3333 0.6667 0.2500
Cd 0.6667 0.3333 0.7500
Pd 0.1645 0.3291 0.7500
Pd 0.1645 0.8355 0.7500
Pd 0.3291 0.1645 0.2500
Pd 0.6709 0.8355 0.7500
Pd 0.8355 0.1645 0.2500
Pd 0.8355 0.6709 0.2500


Structure and theoretical powder X-ray diffraction pattern of Kr (DFT lattice parameters and positions (PBE); Cu Ka).
Peak positions follow from Bragg's law for the DFT cell and can differ from measured ones.

Peak list (10 most intense, 10 to 90 degrees two-theta, in order of rising 2θ)
23.24°, intensity 23; 24.18°, intensity 27; 26.24°, intensity 100; 33.79°, intensity 17; 40.83°, intensity 20; 43.83°, intensity 24; 48.02°, intensity 24; 49.18°, intensity 17; 65.78°, intensity 14; 66.07°, intensity 9

a = 4.4204 Å, b = 4.4204 Å, c = 7.3603 Å
α = 90.00°, β = 90.00°, γ = 120.00°
Sites, in units of the cell vectors:
Kr 0.3333 0.6667 0.2500
Kr 0.6667 0.3333 0.7500


Structure and theoretical powder X-ray diffraction pattern of Na2TaAlSi2SO12 (DFT lattice parameters and positions (PBE); Cu Ka).
Peak positions follow from Bragg's law for the DFT cell and can differ from measured ones.

Peak list (10 most intense, 10 to 90 degrees two-theta, in order of rising 2θ)
13.93°, intensity 100; 19.45°, intensity 41; 19.89°, intensity 49; 20.04°, intensity 26; 20.18°, intensity 56; 24.72°, intensity 29; 28.07°, intensity 29; 31.08°, intensity 33; 31.45°, intensity 34; 32.02°, intensity 29

a = 8.8053 Å, b = 8.8053 Å, c = 9.1302 Å
α = 120.28°, β = 120.28°, γ = 60.42°
Sites, in units of the cell vectors:
Na 0.0568 0.9432 0.5000
Na 0.3249 0.8194 0.2343
Na 0.8194 0.3249 0.7343
Na 0.9432 0.0568 0.0000
Ta 0.4615 0.9632 0.6858
Ta 0.9632 0.4615 0.1858
Al 0.1406 0.6885 0.8117
Al 0.6885 0.1406 0.3117
Si 0.0564 0.2918 0.5044
Si 0.2918 0.0564 0.0044
Si 0.7783 0.8627 0.5058
Si 0.8627 0.7783 0.0058
S 0.3643 0.5599 0.5061
S 0.5599 0.3643 0.0061
O 0.0349 0.3080 0.3197
O 0.0440 0.7525 0.9797
O 0.0951 0.2359 0.0234
O 0.1042 0.4680 0.6752
O 0.1933 0.5407 0.3393
O 0.2359 0.0951 0.5234
O 0.2562 0.8760 0.9742
O 0.3080 0.0349 0.8197
O 0.3340 0.5953 0.6642
O 0.3734 0.7326 0.5134
O 0.4054 0.5299 0.9784
O 0.4680 0.1042 0.1752
O 0.5299 0.4054 0.4784
O 0.5407 0.1933 0.8393
O 0.5894 0.8835 0.5198
O 0.5953 0.3340 0.1642
O 0.6753 0.8211 0.8296
O 0.7326 0.3734 0.0134
O 0.7525 0.0440 0.4797
O 0.8211 0.6753 0.3296
O 0.8379 0.9594 0.1824
O 0.8760 0.2562 0.4742
O 0.8835 0.5894 0.0198
O 0.9594 0.8379 0.6824


Structure and theoretical powder X-ray diffraction pattern of GdBeO3 (DFT lattice parameters and positions (PBE); Cu Ka).
Peak positions follow from Bragg's law for the DFT cell and can differ from measured ones.

Peak list (9 most intense, 10 to 90 degrees two-theta, in order of rising 2θ)
24.73°, intensity 100; 35.26°, intensity 99; 43.55°, intensity 67; 50.73°, intensity 35; 57.23°, intensity 44; 63.29°, intensity 38; 74.57°, intensity 21; 79.96°, intensity 21; 85.27°, intensity 17

a = 3.5994 Å, b = 3.5994 Å, c = 3.5994 Å
α = 90.00°, β = 90.00°, γ = 90.00°
Sites, in units of the cell vectors:
Gd 0.0000 0.0000 0.0000
Be 0.5000 0.5000 0.5000
O 0.0000 0.5000 0.5000
O 0.5000 0.0000 0.5000
O 0.5000 0.5000 0.0000


Structure and theoretical powder X-ray diffraction pattern of Dy6CoTe2 (DFT lattice parameters and positions (PBE); Cu Ka).
Peak positions follow from Bragg's law for the DFT cell and can differ from measured ones.

Peak list (10 most intense, 10 to 90 degrees two-theta, in order of rising 2θ)
31.43°, intensity 100; 32.76°, intensity 75; 33.84°, intensity 66; 37.30°, intensity 27; 40.32°, intensity 29; 46.69°, intensity 19; 51.24°, intensity 21; 58.20°, intensity 29; 60.68°, intensity 27; 63.62°, intensity 15

a = 8.3509 Å, b = 8.3509 Å, c = 3.8912 Å
α = 90.00°, β = 90.00°, γ = 120.00°
Sites, in units of the cell vectors:
Dy 0.0000 0.2361 0.0000
Dy 0.0000 0.5982 0.5000
Dy 0.2361 0.0000 0.0000
Dy 0.4018 0.4018 0.5000
Dy 0.5982 0.0000 0.5000
Dy 0.7639 0.7639 0.0000
Co 0.0000 0.0000 0.5000
Te 0.3333 0.6667 0.0000
Te 0.6667 0.3333 0.0000


Which formula does entry 2 have? CdPd3